Structure and calculated X-ray diffraction stick pattern of CuNi2RuO6 (a cell relaxed with GGA+U; Cu Kα X-rays).
Peak positions follow from Bragg's law for the DFT cell and can differ from measured ones.

The 6 most intense peaks (2θ = 10–90°), low angle first:
2theta	I_rel	h k l
19.02	67	0 0 1
30.38	100	1 1 1
33.44	50	2 0 0
45.66	49	1 1 2
48.01	37	2 2 0
57.88	30	3 1 1

Structure:
a = 5.3600 Å, b = 5.3600 Å, c = 4.6663 Å
α = 90.00°, β = 90.00°, γ = 90.00°
Space group P4mm (No. 99)
One atom of each set of equivalent atoms:
1 Cu 0.0000 0.0000 0.0000 x1
2 Ni 0.0000 0.5000 0.3145 x2
3 Ru 0.5000 0.5000 0.0270 x1
4 O 0.0000 0.0000 0.6140 x1
5 O 0.2598 0.2598 0.1724 x4
6 O 0.5000 0.5000 0.6615 x1